(1)
Cr4CdS8: computed powder X-ray diffraction pattern (Cu Kα (λ = 1.5418 Å)), based on a cell relaxed with GGA-PBE.
Neutral-atom scattering factors, no anomalous dispersion.

Largest 12 diffraction maxima, low angle first, 2θ from 10° to 90°:
| 2θ/deg | I/Imax |
| --- | --- |
| 13.98 | 95.8 |
| 14.97 | 31.4 |
| 16.43 | 31.0 |
| 16.66 | 58.3 |
| 26.14 | 31.9 |
| 30.22 | 51.4 |
| 33.21 | 31.9 |
| 33.69 | 57.7 |
| 40.97 | 67.0 |
| 41.40 | 35.8 |
| 42.19 | 100.0 |
| 53.68 | 81.0 |

Cell lengths 6.836, 6.836, 8.517 Å; angles 125.40, 125.40, 59.89 degrees
Fractional coordinates of all 13 atoms:
Cr: 0.226 0.774 0.000
Cr: 0.234 0.234 0.979
Cr: 0.766 0.766 0.021
Cr: 0.774 0.226 0.000
Cd: 0.500 0.500 0.500
S: 0.023 0.513 0.211
S: 0.029 0.029 0.230
S: 0.487 0.977 0.789
S: 0.495 0.495 0.814
S: 0.505 0.505 0.186
S: 0.513 0.023 0.211
S: 0.971 0.971 0.770
S: 0.977 0.487 0.789

(2)
Ca3HgBr8: computed powder X-ray diffraction pattern (Cu Kα (λ = 1.5418 Å)), based on a cell relaxed with GGA-PBE.
Neutral-atom scattering factors, no anomalous dispersion.

Largest 12 diffraction maxima, low angle first, 2θ from 10° to 90°:
| 2θ/deg | I/Imax |
| --- | --- |
| 12.80 | 95.5 |
| 24.57 | 21.7 |
| 24.66 | 13.0 |
| 25.78 | 24.0 |
| 29.72 | 100.0 |
| 30.00 | 49.4 |
| 38.93 | 18.4 |
| 42.43 | 17.2 |
| 42.63 | 56.0 |
| 42.83 | 34.3 |
| 53.00 | 27.2 |
| 78.04 | 13.5 |

Cell lengths 8.446, 8.446, 8.522 Å; angles 120.01, 120.01, 60.30 degrees
Fractional coordinates of all 12 atoms:
Ca: 0.000 0.000 0.000
Ca: 0.000 0.500 0.500
Ca: 0.500 0.000 0.500
Hg: 0.500 0.500 0.000
Br: 0.244 0.244 0.261
Br: 0.249 0.742 0.762
Br: 0.258 0.258 0.745
Br: 0.258 0.751 0.238
Br: 0.742 0.249 0.762
Br: 0.742 0.742 0.255
Br: 0.751 0.258 0.238
Br: 0.756 0.756 0.739

(3)
PuZn11: computed powder X-ray diffraction pattern (Cu Kα (λ = 1.5418 Å)), based on a cell relaxed with GGA-PBE.
Neutral-atom scattering factors, no anomalous dispersion.

Largest 12 diffraction maxima, low angle first, 2θ from 10° to 90°:
| 2θ/deg | I/Imax |
| --- | --- |
| 22.81 | 16.6 |
| 28.58 | 20.6 |
| 33.19 | 44.4 |
| 37.51 | 100.0 |
| 38.03 | 66.0 |
| 40.26 | 30.1 |
| 44.82 | 22.3 |
| 46.60 | 19.1 |
| 48.17 | 15.0 |
| 57.39 | 21.7 |
| 68.37 | 29.8 |
| 81.34 | 12.5 |

Cell lengths 8.234, 8.234, 8.234 Å; angles 100.04, 100.04, 130.64 degrees
Fractional coordinates of all 24 atoms:
Pu: 0.375 0.625 0.750
Pu: 0.625 0.375 0.250
Zn: 0.000 0.000 0.000
Zn: 0.000 0.000 0.500
Zn: 0.000 0.500 0.000
Zn: 0.125 0.875 0.250
Zn: 0.131 0.555 0.334
Zn: 0.131 0.797 0.576
Zn: 0.203 0.280 0.334
Zn: 0.203 0.869 0.924
Zn: 0.280 0.203 0.834
Zn: 0.280 0.445 0.076
Zn: 0.445 0.280 0.576
Zn: 0.445 0.869 0.166
Zn: 0.500 0.000 0.500
Zn: 0.555 0.131 0.834
Zn: 0.555 0.720 0.424
Zn: 0.720 0.555 0.924
Zn: 0.720 0.797 0.166
Zn: 0.797 0.131 0.076
Zn: 0.797 0.720 0.666
Zn: 0.869 0.203 0.424
Zn: 0.869 0.445 0.666
Zn: 0.875 0.125 0.750

(4)
Na8Cd3In: computed powder X-ray diffraction pattern (Cu Kα (λ = 1.5418 Å)), based on a cell relaxed with GGA-PBE.
Neutral-atom scattering factors, no anomalous dispersion.

Largest 12 diffraction maxima, low angle first, 2θ from 10° to 90°:
| 2θ/deg | I/Imax |
| --- | --- |
| 20.49 | 100.0 |
| 23.97 | 11.1 |
| 33.58 | 58.5 |
| 34.16 | 27.9 |
| 39.15 | 18.7 |
| 40.17 | 34.8 |
| 49.09 | 9.6 |
| 52.92 | 15.1 |
| 59.66 | 10.3 |
| 60.73 | 9.7 |
| 60.85 | 9.6 |
| 65.22 | 7.8 |

Cell lengths 9.308, 9.299, 7.424 Å; angles 66.54, 66.43, 47.03 degrees
Fractional coordinates of all 12 atoms:
Na: 0.124 0.628 0.876
Na: 0.125 0.628 0.372
Na: 0.372 0.875 0.125
Na: 0.372 0.876 0.628
Na: 0.628 0.124 0.372
Na: 0.628 0.125 0.875
Na: 0.875 0.372 0.628
Na: 0.876 0.372 0.124
Cd: 0.250 0.250 0.250
Cd: 0.500 0.500 0.500
Cd: 0.750 0.750 0.750
In: 0.000 0.000 0.000

(5)
Li2AsOsO6: computed powder X-ray diffraction pattern (Cu Kα (λ = 1.5418 Å)), based on a cell relaxed with GGA-PBE.
Neutral-atom scattering factors, no anomalous dispersion.

Largest 12 diffraction maxima, low angle first, 2θ from 10° to 90°:
| 2θ/deg | I/Imax |
| --- | --- |
| 16.12 | 35.5 |
| 17.67 | 95.6 |
| 22.88 | 100.0 |
| 24.01 | 28.1 |
| 29.05 | 80.9 |
| 32.58 | 28.4 |
| 37.30 | 29.7 |
| 42.89 | 31.2 |
| 50.34 | 23.5 |
| 55.98 | 26.2 |
| 60.21 | 24.1 |
| 65.29 | 32.3 |

Cell lengths 5.497, 5.497, 5.020 Å; angles 90.00, 90.00, 90.00 degrees
Fractional coordinates of all 10 atoms:
Li: 0.000 0.500 0.000
Li: 0.500 0.000 0.000
As: 0.000 0.000 0.726
Os: 0.500 0.500 0.744
O: 0.000 0.000 0.395
O: 0.270 0.270 0.865
O: 0.270 0.730 0.865
O: 0.500 0.500 0.400
O: 0.730 0.270 0.865
O: 0.730 0.730 0.865

(6)
Sr3LiRe2N6: computed powder X-ray diffraction pattern (Cu Kα (λ = 1.5418 Å)), based on a cell relaxed with GGA-PBE.
Neutral-atom scattering factors, no anomalous dispersion.

Largest 12 diffraction maxima, low angle first, 2θ from 10° to 90°:
| 2θ/deg | I/Imax |
| --- | --- |
| 17.16 | 27.2 |
| 21.58 | 51.7 |
| 26.16 | 20.0 |
| 29.95 | 100.0 |
| 31.45 | 77.9 |
| 40.18 | 21.4 |
| 43.98 | 40.7 |
| 53.17 | 20.5 |
| 54.12 | 34.0 |
| 56.92 | 15.7 |
| 62.23 | 16.5 |
| 71.40 | 15.2 |

Cell lengths 5.967, 5.967, 6.814 Å; angles 90.00, 90.00, 120.00 degrees
Fractional coordinates of all 12 atoms:
Sr: 0.000 0.000 0.000
Sr: 0.333 0.667 0.674
Sr: 0.667 0.333 0.326
Li: 0.000 0.000 0.500
Re: 0.333 0.667 0.205
Re: 0.667 0.333 0.795
N: 0.169 0.338 0.287
N: 0.169 0.831 0.287
N: 0.338 0.169 0.713
N: 0.662 0.831 0.287
N: 0.831 0.169 0.713
N: 0.831 0.662 0.713